No. 1
Starting from a GGA+U-relaxed structure, the X-ray diffraction stick pattern of Li3Mn2FeB3O9 was simulated for Cu Kα, 1.54184 Å.
Neutral-atom scattering factors, no anomalous dispersion.

Atomic structure:
Lattice parameters (Å, degrees): 8.2413 3.1718 8.2618 90.00 119.85 90.00
Positions (direct):
1 Li 0.0000 0.0000 0.0000
2 Li 0.2682 0.0000 0.6839
3 Li 0.6822 0.0000 0.4160
4 Mn 0.6223 0.5000 0.7110
5 Mn 0.9713 0.5000 0.3275
6 Fe 0.3495 0.5000 0.0586
7 B 0.3161 0.0000 0.3633
8 B 0.6470 0.0000 0.0332
9 B 0.9853 0.5000 0.6994
10 O 0.0662 0.5000 0.8938
11 O 0.0993 0.5000 0.6198
12 O 0.1224 0.0000 0.2774
13 O 0.4028 0.0000 0.2557
14 O 0.4231 0.0000 0.5569
15 O 0.4534 0.0000 0.9523
16 O 0.7301 0.0000 0.9214
17 O 0.7601 0.0000 0.2267
18 O 0.7915 0.5000 0.5870

Peak list (8 most intense, 2θ from 10° to 90°, by angle)
| Position (°2θ) | Rel. int. | hkl |
| --- | --- | --- |
| 21.52 | 100 | 2 0 -1 |
| 30.84 | 17 | 1 1 -1 |
| 35.70 | 81 | 2 1 -1 |
| 37.71 | 21 | 3 0 0 |
| 37.82 | 15 | 3 0 -3 |
| 43.97 | 13 | 4 0 -2 |
| 47.70 | 19 | 0 1 3 |
| 52.88 | 17 | 2 1 2 |

---

No. 2
Starting from a GGA+U-relaxed structure, the X-ray diffraction stick pattern of Li9Mn2Co5O16 was simulated for Cu Kα, 1.54184 Å.
Neutral-atom scattering factors, no anomalous dispersion.

Atomic structure:
Lattice parameters (Å, degrees): 5.1646 7.7251 7.7480 97.70 102.80 102.82
Positions (direct):
1 Li 0.0000 0.0000 0.0000
2 Li 0.9996 0.3634 0.1177
3 Li 0.0032 0.2464 0.7594
4 Li 0.0038 0.6188 0.8763
5 Li 0.0048 0.4929 0.5051
6 Li 0.0063 0.7444 0.2448
7 Li 0.0103 0.1206 0.3751
8 Li 0.0119 0.8762 0.6373
9 Li 0.5064 0.1211 0.8759
10 Mn 0.5023 0.9951 0.5015
11 Mn 0.5060 0.6202 0.3778
12 Co 0.4951 0.8746 0.1120
13 Co 0.5015 0.4916 0.0006
14 Co 0.5105 0.7480 0.7569
15 Co 0.5109 0.3648 0.6356
16 Co 0.5117 0.2431 0.2421
17 O 0.2658 0.8625 0.8862
18 O 0.2733 0.2594 0.0123
19 O 0.2764 0.5032 0.7508
20 O 0.2766 0.1115 0.6120
21 O 0.2788 0.6196 0.1415
22 O 0.2799 0.9989 0.2616
23 O 0.2837 0.7509 0.4961
24 O 0.2889 0.3851 0.3871
25 O 0.7177 0.8622 0.3733
26 O 0.7270 0.9806 0.7344
27 O 0.7318 0.2288 0.4986
28 O 0.7333 0.5017 0.2588
29 O 0.7326 0.6200 0.6128
30 O 0.7356 0.7398 0.0021
31 O 0.7382 0.3788 0.8666
32 O 0.7448 0.1203 0.1368

Peak list (8 most intense, 2θ from 10° to 90°, by angle)
| Position (°2θ) | Rel. int. | hkl |
| --- | --- | --- |
| 18.24 | 100 | 1 0 0 |
| 35.75 | 14 | -1 2 2 |
| 36.03 | 13 | 0 1 -3 |
| 36.13 | 13 | 0 3 -1 |
| 43.16 | 28 | -2 2 2 |
| 43.60 | 27 | 1 -1 3 |
| 43.71 | 27 | 1 3 -1 |
| 62.69 | 15 | 3 1 -3 |